This entry pairs a crystal structure of Ti9NbAl2 with its theoretical X-ray powder pattern. Radiation: Cu Kα, 1.54184 Å. Structure: a crystal structure in Alexandria, relaxed with GGA-PBE.
Lines closer than 0.1° are merged.

```
Ti9NbAl2
1.0
4.041 0.000 0.000
0.000 4.041 0.000
0.000 0.000 12.422
Ti Nb Al
9 1 2
direct
0.000 0.000 0.000
0.000 0.000 0.338
0.000 0.000 0.662
0.000 0.500 0.173
0.000 0.500 0.500
0.000 0.500 0.827
0.500 0.000 0.173
0.500 0.000 0.500
0.500 0.000 0.827
0.500 0.500 0.000
0.500 0.500 0.336
0.500 0.500 0.664
```

Most intense lines, 5° ≤ 2θ ≤ 70°, low angle first:
two_theta  I (rel.)
7.12  12.5
38.27  100.0
43.72  16.4
44.86  30.9
64.43  18.8
65.31  9.2


This entry pairs a crystal structure of Tl2S with its theoretical X-ray powder pattern. Radiation: Cu Kα, 1.54184 Å. Structure: a crystal structure in Alexandria, relaxed with GGA-PBE.
Lines closer than 0.1° are merged.

```
Tl2S
1.0
6.271 3.620 6.290
-6.271 3.620 6.290
0.000 -7.241 6.290
Tl S
18 9
direct
0.052 0.757 0.719
0.059 0.427 0.086
0.086 0.059 0.427
0.098 0.438 0.466
0.101 0.139 0.806
0.139 0.806 0.101
0.389 0.718 0.421
0.421 0.389 0.718
0.427 0.086 0.059
0.431 0.768 0.802
0.438 0.466 0.098
0.466 0.098 0.438
0.718 0.421 0.389
0.719 0.052 0.757
0.757 0.719 0.052
0.768 0.802 0.431
0.802 0.431 0.768
0.806 0.100 0.139
0.078 0.747 0.405
0.116 0.452 0.776
0.118 0.118 0.118
0.405 0.078 0.747
0.407 0.407 0.407
0.452 0.776 0.116
0.740 0.740 0.740
0.747 0.405 0.078
0.776 0.116 0.452
```

Most intense lines, 5° ≤ 2θ ≤ 70°, low angle first:
two_theta  I (rel.)
24.59  13.3
28.43  100.0
37.91  20.3
43.29  17.8
50.29  14.5
52.57  14.1


What did the first record say?
This entry pairs a crystal structure of Ti9NbAl2 with its theoretical X-ray powder pattern. Radiation: Cu Kα, 1.54184 Å. Structure: a crystal structure in Alexandria, relaxed with GGA-PBE.
Lines closer than 0.1° are merged.

```
Ti9NbAl2
1.0
4.041 0.000 0.000
0.000 4.041 0.000
0.000 0.000 12.422
Ti Nb Al
9 1 2
direct
0.000 0.000 0.000
0.000 0.000 0.338
0.000 0.000 0.662
0.000 0.500 0.173
0.000 0.500 0.500
0.000 0.500 0.827
0.500 0.000 0.173
0.500 0.000 0.500
0.500 0.000 0.827
0.500 0.500 0.000
0.500 0.500 0.336
0.500 0.500 0.664
```

Most intense lines, 5° ≤ 2θ ≤ 70°, low angle first:
two_theta  I (rel.)
7.12  12.5
38.27  100.0
43.72  16.4
44.86  30.9
64.43  18.8
65.31  9.2


Copy entry 2 word for word.
This entry pairs a crystal structure of Tl2S with its theoretical X-ray powder pattern. Radiation: Cu Kα, 1.54184 Å. Structure: a crystal structure in Alexandria, relaxed with GGA-PBE.
Lines closer than 0.1° are merged.

```
Tl2S
1.0
6.271 3.620 6.290
-6.271 3.620 6.290
0.000 -7.241 6.290
Tl S
18 9
direct
0.052 0.757 0.719
0.059 0.427 0.086
0.086 0.059 0.427
0.098 0.438 0.466
0.101 0.139 0.806
0.139 0.806 0.101
0.389 0.718 0.421
0.421 0.389 0.718
0.427 0.086 0.059
0.431 0.768 0.802
0.438 0.466 0.098
0.466 0.098 0.438
0.718 0.421 0.389
0.719 0.052 0.757
0.757 0.719 0.052
0.768 0.802 0.431
0.802 0.431 0.768
0.806 0.100 0.139
0.078 0.747 0.405
0.116 0.452 0.776
0.118 0.118 0.118
0.405 0.078 0.747
0.407 0.407 0.407
0.452 0.776 0.116
0.740 0.740 0.740
0.747 0.405 0.078
0.776 0.116 0.452
```

Most intense lines, 5° ≤ 2θ ≤ 70°, low angle first:
two_theta  I (rel.)
24.59  13.3
28.43  100.0
37.91  20.3
43.29  17.8
50.29  14.5
52.57  14.1


Repeat the second record exactly.
This entry pairs a crystal structure of Tl2S with its theoretical X-ray powder pattern. Radiation: Cu Kα, 1.54184 Å. Structure: a crystal structure in Alexandria, relaxed with GGA-PBE.
Lines closer than 0.1° are merged.

```
Tl2S
1.0
6.271 3.620 6.290
-6.271 3.620 6.290
0.000 -7.241 6.290
Tl S
18 9
direct
0.052 0.757 0.719
0.059 0.427 0.086
0.086 0.059 0.427
0.098 0.438 0.466
0.101 0.139 0.806
0.139 0.806 0.101
0.389 0.718 0.421
0.421 0.389 0.718
0.427 0.086 0.059
0.431 0.768 0.802
0.438 0.466 0.098
0.466 0.098 0.438
0.718 0.421 0.389
0.719 0.052 0.757
0.757 0.719 0.052
0.768 0.802 0.431
0.802 0.431 0.768
0.806 0.100 0.139
0.078 0.747 0.405
0.116 0.452 0.776
0.118 0.118 0.118
0.405 0.078 0.747
0.407 0.407 0.407
0.452 0.776 0.116
0.740 0.740 0.740
0.747 0.405 0.078
0.776 0.116 0.452
```

Most intense lines, 5° ≤ 2θ ≤ 70°, low angle first:
two_theta  I (rel.)
24.59  13.3
28.43  100.0
37.91  20.3
43.29  17.8
50.29  14.5
52.57  14.1